For Na2ZnGe2Se6, a PBE-relaxed structure gives the theoretical powder diffraction line list in this record (Cu Ka).

Crystal structure
a b c (Å): 7.9553 7.9553 19.0429
angles (deg): 90.00 90.00 90.00
Space group I4/mcm (No. 140)
Symmetry-distinct sites (fractional):
Na  0.0000  0.0000  0.1226 (multiplicity 8)
Zn  0.0000  0.5000  0.2500 (multiplicity 4)
Ge  0.0000  0.5000  0.0847 (multiplicity 8)
Se  0.1619  0.3381  0.0000 (multiplicity 8)
Se  0.1661  0.3339  0.3385 (multiplicity 16)

Largest 6 diffraction maxima, by angle, 10 to 90 degrees two-theta:
| h k l | two_theta | I/Imax |
| --- | --- | --- |
| 1 1 0 | 15.75 | 73.2 |
| 2 1 3 | 28.77 | 100.0 |
| 2 2 0 | 31.82 | 21.5 |
| 2 0 6 | 36.21 | 42.4 |
| 3 1 6 | 46.04 | 43.7 |
| 2 1 9 | 50.16 | 20.0 |

---

For NaZn2GeSe4, a PBE-relaxed structure gives the theoretical powder diffraction line list in this record (Cu Ka).

Crystal structure
a b c (Å): 8.4984 8.5051 11.8939
angles (deg): 90.00 90.00 90.00
Space group Fmm2 (No. 42)
Symmetry-distinct sites (fractional):
Na  0.0000  0.0000  0.0000 (multiplicity 4)
Zn  0.2500  0.2500  0.2496 (multiplicity 8)
Ge  0.0000  0.0000  0.4995 (multiplicity 4)
Se  0.0000  0.2330  0.6365 (multiplicity 8)
Se  0.2332  0.0000  0.3628 (multiplicity 8)

Largest 6 diffraction maxima, by angle, 10 to 90 degrees two-theta:
| h k l | two_theta | I/Imax |
| --- | --- | --- |
| 2 0 2 | 25.76 | 100.0 |
| 4 0 0 | 42.53 | 24.5 |
| 2 2 4 | 42.78 | 47.1 |
| 4 2 2 | 50.40 | 29.2 |
| 2 0 6 | 50.82 | 13.5 |
| 6 2 4 | 78.01 | 13.8 |

---

For Na2SiGeTe4, a PBE-relaxed structure gives the theoretical powder diffraction line list in this record (Cu Ka).

Crystal structure
a b c (Å): 10.1889 8.4303 6.6570
angles (deg): 90.00 90.00 90.00
Space group Pmn2_1 (No. 31)
Symmetry-distinct sites (fractional):
Na  0.2474  0.1677  0.0000 (multiplicity 4)
Si  0.0000  0.3499  0.5665 (multiplicity 2)
Ge  0.0000  0.6893  0.0344 (multiplicity 2)
Te  0.0000  0.3774  0.9490 (multiplicity 2)
Te  0.0000  0.6374  0.4436 (multiplicity 2)
Te  0.2128  0.2080  0.4806 (multiplicity 4)

Largest 6 diffraction maxima, by angle, 10 to 90 degrees two-theta:
| h k l | two_theta | I/Imax |
| --- | --- | --- |
| 2 1 0 | 20.37 | 93.2 |
| 0 2 0 | 21.08 | 49.2 |
| 2 1 1 | 24.40 | 100.0 |
| 0 0 2 | 26.78 | 94.4 |
| 2 3 0 | 36.52 | 68.6 |
| 2 3 2 | 45.87 | 81.2 |

---

For Na6SnGe2, a PBE-relaxed structure gives the theoretical powder diffraction line list in this record (Cu Ka).

Crystal structure
a b c (Å): 5.2995 5.2995 30.1579
angles (deg): 90.00 90.00 120.00
Space group R-3m (No. 166, hexagonal axes)
Symmetry-distinct sites (fractional):
Na  0.0000  0.0000  0.0794 (multiplicity 6)
Na  0.0000  0.0000  0.2044 (multiplicity 6)
Na  0.0000  0.0000  0.3088 (multiplicity 6)
Sn  0.0000  0.0000  0.5000 (multiplicity 3)
Ge  0.0000  0.0000  0.4105 (multiplicity 6)

Largest 6 diffraction maxima, by angle, 10 to 90 degrees two-theta:
| h k l | two_theta | I/Imax |
| --- | --- | --- |
| 1 0 1 | 19.57 | 97.0 |
| 0 1 2 | 20.23 | 37.0 |
| 1 1 0 | 33.83 | 100.0 |
| 1 0 10 | 35.62 | 57.9 |
| 0 1 11 | 38.24 | 30.9 |
| 0 2 10 | 49.98 | 44.1 |

---

For NaSn4Ge, a PBE-relaxed structure gives the theoretical powder diffraction line list in this record (Cu Ka).

Crystal structure
a b c (Å): 9.5398 11.8300 6.1599
angles (deg): 90.00 90.00 90.00
Space group Ama2 (No. 40)
Symmetry-distinct sites (fractional):
Na  0.0000  0.0000  0.0000 (multiplicity 4)
Sn  0.0247  0.2410  0.6951 (multiplicity 8)
Sn  0.2500  0.1259  0.2793 (multiplicity 4)
Sn  0.2500  0.3844  0.0014 (multiplicity 4)
Ge  0.2500  0.0908  0.7474 (multiplicity 4)

Largest 6 diffraction maxima, by angle, 10 to 90 degrees two-theta:
| h k l | two_theta | I/Imax |
| --- | --- | --- |
| 0 2 0 | 14.98 | 40.9 |
| 2 2 0 | 23.97 | 58.9 |
| 1 2 2 | 34.14 | 73.9 |
| 2 4 0 | 35.72 | 100.0 |
| 4 0 0 | 37.72 | 43.4 |
| 2 2 2 | 37.96 | 40.5 |

---

For Na3SnGe, a PBE-relaxed structure gives the theoretical powder diffraction line list in this record (Cu Ka).

Crystal structure
a b c (Å): 11.3157 11.3157 4.3526
angles (deg): 90.00 90.00 90.00
Space group P4_2/mnm (No. 136)
Symmetry-distinct sites (fractional):
Na  0.0020  0.3316  0.0000 (multiplicity 8)
Na  0.1274  0.1274  0.5000 (multiplicity 4)
Sn  0.1893  0.8107  0.5000 (multiplicity 4)
Ge  0.0798  0.9202  0.0000 (multiplicity 4)

Largest 6 diffraction maxima, by angle, 10 to 90 degrees two-theta:
| h k l | two_theta | I/Imax |
| --- | --- | --- |
| 1 1 0 | 11.06 | 67.2 |
| 2 1 0 | 17.53 | 99.3 |
| 1 1 1 | 23.26 | 34.8 |
| 3 0 1 | 31.38 | 100.0 |
| 3 1 1 | 32.39 | 48.5 |
| 4 2 1 | 41.27 | 56.1 |